1.
This entry pairs a crystal structure of GaH4NF4 with its theoretical powder diffractogram. Radiation: CuKα. Structure: a crystal structure in the Materials Project, relaxed with GGA-PBE.
Lines closer than 0.1° are merged.

Main lines, in order of rising 2θ (10° ≤ 2θ ≤ 80°):
6.496 Å, 2θ = 13.63°, intensity 100
3.796 Å, 2θ = 23.43°, intensity 67
3.278 Å, 2θ = 27.21°, intensity 67
3.248 Å, 2θ = 27.46°, intensity 25
2.684 Å, 2θ = 33.38°, intensity 33
1.898 Å, 2θ = 47.92°, intensity 24
1.881 Å, 2θ = 48.39°, intensity 25
1.698 Å, 2θ = 54.01°, intensity 20
1.643 Å, 2θ = 55.98°, intensity 22
1.336 Å, 2θ = 70.48°, intensity 19

Structure:
Unit cell a=7.5243 b=7.5243 c=7.5243 alpha=138.20 beta=138.20 gamma=60.60
Atoms (fractional coordinates):
1 Ga 0.0000 0.0000 0.0000
2 Ga 0.5000 0.5000 0.0000
3 H 0.0938 0.5938 0.2806
4 H 0.1869 0.9062 0.5000
5 H 0.3131 0.8131 0.7194
6 H 0.4062 0.6869 0.5000
7 H 0.5938 0.3131 0.5000
8 H 0.6869 0.1869 0.2806
9 H 0.8131 0.0938 0.5000
10 H 0.9062 0.4062 0.7194
11 N 0.2500 0.7500 0.5000
12 N 0.7500 0.2500 0.5000
13 F 0.1436 0.1436 0.0000
14 F 0.1904 0.6904 0.8808
15 F 0.3096 0.1904 0.5000
16 F 0.3564 0.3564 0.0000
17 F 0.6436 0.6436 0.0000
18 F 0.6904 0.8096 0.5000
19 F 0.8096 0.3096 0.1192
20 F 0.8564 0.8564 0.0000


2.
This entry pairs a crystal structure of GaH5N2F2 with its theoretical powder diffractogram. Radiation: CuKα. Structure: a crystal structure in the Materials Project, relaxed with GGA-PBE.
Lines closer than 0.1° are merged.

Main lines, in order of rising 2θ (10° ≤ 2θ ≤ 80°):
5.611 Å, 2θ = 15.79°, intensity 100
3.629 Å, 2θ = 24.53°, intensity 54
3.582 Å, 2θ = 24.85°, intensity 53
2.930 Å, 2θ = 30.51°, intensity 11
2.697 Å, 2θ = 33.21°, intensity 21
2.640 Å, 2θ = 33.95°, intensity 18
1.904 Å, 2θ = 47.77°, intensity 12
1.815 Å, 2θ = 50.28°, intensity 13
1.792 Å, 2θ = 50.96°, intensity 19
1.577 Å, 2θ = 58.55°, intensity 11

Structure:
Unit cell a=6.3322 b=6.3322 c=5.0114 alpha=91.43 beta=91.43 gamma=55.12
Atoms (fractional coordinates):
1 Ga 0.0000 0.0000 0.0000
2 Ga 0.5000 0.5000 0.5000
3 H 0.0429 0.3402 0.7884
4 H 0.1118 0.1118 0.5739
5 H 0.2764 0.2764 0.4020
6 H 0.3402 0.0429 0.7884
7 H 0.3512 0.3512 0.1111
8 H 0.6488 0.6488 0.8889
9 H 0.6598 0.9571 0.2116
10 H 0.7236 0.7236 0.5980
11 H 0.8882 0.8882 0.4261
12 H 0.9571 0.6598 0.2116
13 N 0.1432 0.1432 0.7677
14 N 0.3560 0.3560 0.3122
15 N 0.6440 0.6440 0.6878
16 N 0.8568 0.8568 0.2323
17 F 0.1681 0.6896 0.7641
18 F 0.3104 0.8319 0.2359
19 F 0.6896 0.1681 0.7641
20 F 0.8319 0.3104 0.2359


3.
This entry pairs a crystal structure of GaH15N4O2F6 with its theoretical powder diffractogram. Radiation: CuKα. Structure: a crystal structure in the Materials Project, relaxed with GGA-PBE.
Lines closer than 0.1° are merged.

Main lines, in order of rising 2θ (10° ≤ 2θ ≤ 80°):
7.272 Å, 2θ = 12.17°, intensity 24
6.224 Å, 2θ = 14.23°, intensity 100
5.391 Å, 2θ = 16.44°, intensity 19
4.341 Å, 2θ = 20.46°, intensity 29
3.435 Å, 2θ = 25.94°, intensity 19
3.027 Å, 2θ = 29.51°, intensity 40
2.786 Å, 2θ = 32.13°, intensity 43
2.441 Å, 2θ = 36.83°, intensity 21
2.422 Å, 2θ = 37.12°, intensity 33
2.115 Å, 2θ = 42.74°, intensity 20

Structure:
Unit cell a=8.8252 b=8.8252 c=11.8430 alpha=112.00 beta=112.00 gamma=50.32
Atoms (fractional coordinates):
1 Ga 0.0000 0.5000 0.0000
2 Ga 0.5000 0.0000 0.5000
3 H 0.0000 0.0000 0.0000
4 H 0.0000 0.0000 0.5000
5 H 0.0010 0.7866 0.5697
6 H 0.0073 0.1963 0.8411
7 H 0.1629 0.4499 0.2832
8 H 0.1675 0.5705 0.8570
9 H 0.1963 0.0073 0.3411
10 H 0.2134 0.9990 0.9303
11 H 0.2770 0.5660 0.9958
12 H 0.3011 0.5360 0.6462
13 H 0.3633 0.5587 0.6352
14 H 0.4295 0.8325 0.6430
15 H 0.4340 0.7230 0.5042
16 H 0.4413 0.6367 0.8648
17 H 0.4499 0.1629 0.7832
18 H 0.4640 0.6989 0.8538
19 H 0.5360 0.3011 0.1462
20 H 0.5501 0.8371 0.2168
21 H 0.5587 0.3633 0.1352
22 H 0.5660 0.2770 0.4958
23 H 0.5705 0.1675 0.3570
24 H 0.6367 0.4413 0.3648
25 H 0.6989 0.4640 0.3538
26 H 0.7230 0.4340 0.0042
27 H 0.7866 0.0010 0.0697
28 H 0.8038 0.9927 0.6589
29 H 0.8325 0.4295 0.1430
30 H 0.8371 0.5501 0.7168
31 H 0.9927 0.8038 0.1589
32 H 0.9990 0.2134 0.4303
33 N 0.0332 0.8210 0.4768
34 N 0.0750 0.7132 0.3817
35 N 0.1790 0.9668 0.0232
36 N 0.2868 0.9250 0.1183
37 N 0.7132 0.0750 0.8817
38 N 0.8210 0.0332 0.9768
39 N 0.9250 0.2868 0.6183
40 N 0.9668 0.1790 0.5232
41 O 0.2947 0.4898 0.9111
42 O 0.4898 0.2947 0.4111
43 O 0.5102 0.7053 0.5889
44 O 0.7053 0.5102 0.0889
45 F 0.0502 0.2192 0.3637
46 F 0.1327 0.6937 0.1441
47 F 0.1538 0.3581 0.2106
48 F 0.2192 0.0502 0.8637
49 F 0.3063 0.8673 0.3559
50 F 0.3581 0.1538 0.7106
51 F 0.6419 0.8462 0.2894
52 F 0.6937 0.1327 0.6441
53 F 0.7808 0.9498 0.1363
54 F 0.8462 0.6419 0.7894
55 F 0.8673 0.3063 0.8559
56 F 0.9498 0.7808 0.6363


4.
This entry pairs a crystal structure of Na2GaHgF6 with its theoretical powder diffractogram. Radiation: CuKα. Structure: a crystal structure in the Materials Project, relaxed with GGA-PBE.
Lines closer than 0.1° are merged.

Main lines, in order of rising 2θ (10° ≤ 2θ ≤ 80°):
5.073 Å, 2θ = 17.48°, intensity 25
4.393 Å, 2θ = 20.21°, intensity 100
3.106 Å, 2θ = 28.74°, intensity 98
2.649 Å, 2θ = 33.84°, intensity 28
2.196 Å, 2θ = 41.09°, intensity 41
1.965 Å, 2θ = 46.21°, intensity 43
1.793 Å, 2θ = 50.92°, intensity 39
1.553 Å, 2θ = 59.52°, intensity 24
1.464 Å, 2θ = 63.53°, intensity 20
1.389 Å, 2θ = 67.41°, intensity 20

Structure:
Unit cell a=6.2125 b=6.2125 c=6.2125 alpha=60.00 beta=60.00 gamma=60.00
Atoms (fractional coordinates):
1 Na 0.2500 0.2500 0.2500
2 Na 0.7500 0.7500 0.7500
3 Ga 0.0000 0.0000 0.0000
4 Hg 0.5000 0.5000 0.5000
5 F 0.2189 0.2189 0.7811
6 F 0.2189 0.7811 0.2189
7 F 0.2189 0.7811 0.7811
8 F 0.7811 0.2189 0.2189
9 F 0.7811 0.2189 0.7811
10 F 0.7811 0.7811 0.2189


5.
This entry pairs a crystal structure of Rb2GaHgF6 with its theoretical powder diffractogram. Radiation: CuKα. Structure: a crystal structure in the Materials Project, relaxed with GGA-PBE.
Lines closer than 0.1° are merged.

Main lines, in order of rising 2θ (10° ≤ 2θ ≤ 80°):
5.209 Å, 2θ = 17.02°, intensity 11
4.511 Å, 2θ = 19.68°, intensity 14
3.190 Å, 2θ = 27.97°, intensity 100
2.720 Å, 2θ = 32.93°, intensity 14
2.256 Å, 2θ = 39.97°, intensity 34
2.070 Å, 2θ = 43.73°, intensity 10
1.842 Å, 2θ = 49.49°, intensity 40
1.595 Å, 2θ = 57.81°, intensity 21
1.427 Å, 2θ = 65.42°, intensity 20
1.206 Å, 2θ = 79.50°, intensity 23

Structure:
Unit cell a=6.3798 b=6.3798 c=6.3798 alpha=60.00 beta=60.00 gamma=60.00
Atoms (fractional coordinates):
1 Rb 0.2500 0.2500 0.2500
2 Rb 0.7500 0.7500 0.7500
3 Ga 0.0000 0.0000 0.0000
4 Hg 0.5000 0.5000 0.5000
5 F 0.2146 0.2146 0.7854
6 F 0.2146 0.7854 0.2146
7 F 0.2146 0.7854 0.7854
8 F 0.7854 0.2146 0.2146
9 F 0.7854 0.2146 0.7854
10 F 0.7854 0.7854 0.2146